Record 1
This entry pairs a crystal structure of K2As2Pd with its computed X-ray powder pattern. Radiation: a wavelength of 1.5418 Å. Structure: a PBE-relaxed structure.
Neutral-atom scattering factors, no anomalous dispersion.

Atomic structure:
Unit cell a=6.578 b=14.623 c=6.094 alpha=90.00 beta=90.00 gamma=90.00
Space group Cmcm (No. 63)
Asymmetric unit:
K1 0.000 0.078 0.250
K2 0.000 0.294 0.750
As1 0.185 0.389 0.250
Pd1 0.000 0.500 0.000

Most intense lines, 2θ = 5–70°, by angle:
Position (°2θ), I/Imax
12.1, 69
14.8, 100
19.0, 30
27.1, 47
33.3, 42
36.8, 27
37.4, 35
38.5, 35

***

Record 2
This entry pairs a crystal structure of K2As2Pt with its computed X-ray powder pattern. Radiation: a wavelength of 1.5418 Å. Structure: a PBE-relaxed structure.
Neutral-atom scattering factors, no anomalous dispersion.

Atomic structure:
Unit cell a=6.544 b=14.198 c=6.327 alpha=90.00 beta=90.00 gamma=90.00
Space group Cmcm (No. 63)
Asymmetric unit:
K1 0.000 0.081 0.250
K2 0.000 0.296 0.750
As1 0.189 0.391 0.250
Pt1 0.000 0.500 0.000

Most intense lines, 2θ = 5–70°, by angle:
Position (°2θ), I/Imax
12.5, 72
14.9, 100
27.2, 23
32.1, 21
36.8, 31
37.4, 20
38.1, 26
51.3, 20

***

Record 3
This entry pairs a crystal structure of KAs2Rh with its computed X-ray powder pattern. Radiation: a wavelength of 1.5418 Å. Structure: a PBE-relaxed structure.
Neutral-atom scattering factors, no anomalous dispersion.

Atomic structure:
Unit cell a=4.102 b=4.102 c=12.551 alpha=90.00 beta=90.00 gamma=90.00
Space group I-4m2 (No. 119)
Asymmetric unit:
K1 0.000 0.000 0.000
As1 0.000 0.000 0.343
Rh1 0.000 0.500 0.750

Most intense lines, 2θ = 5–70°, by angle:
Position (°2θ), I/Imax
14.1, 51
22.8, 57
30.5, 100
42.4, 25
44.2, 33
50.3, 13
54.0, 33
54.6, 37